The following is a theoretical XRD peak list of Ag5Bi2F12. It was derived from a DFT-relaxed cell (GGA-PBE, Alexandria), using Cu Kα (λ = 1.5418 Å).

Main lines, sorted by position (10° ≤ 2θ ≤ 80°):
| 2θ/deg | intensity |
| --- | --- |
| 17.19 | 734 |
| 20.37 | 590 |
| 23.70 | 757 |
| 27.19 | 1000 |
| 28.37 | 394 |
| 29.74 | 533 |
| 32.76 | 345 |
| 40.73 | 398 |
| 41.47 | 602 |
| 43.77 | 365 |
| 45.92 | 547 |
| 48.43 | 320 |

Structure:
a b c (Å): 6.7423 6.7423 8.7101
angles (deg): 98.87 98.87 63.55
Atoms (fractional coordinates):
Ag1 0.0000 0.0000 0.0000
Ag2 0.2858 0.2858 0.1470
Ag3 0.2893 0.2893 0.8226
Ag4 0.7107 0.7107 0.1774
Ag5 0.7142 0.7142 0.8530
Bi1 0.2470 0.7530 0.5000
Bi2 0.7530 0.2470 0.5000
F1 0.0605 0.0605 0.3639
F2 0.0649 0.5892 0.3311
F3 0.1023 0.6376 0.9560
F4 0.3624 0.8977 0.0440
F5 0.4108 0.9351 0.6689
F6 0.4439 0.4439 0.6410
F7 0.5561 0.5561 0.3590
F8 0.5892 0.0649 0.3311
F9 0.6376 0.1023 0.9560
F10 0.8977 0.3624 0.0440
F11 0.9351 0.4108 0.6689
F12 0.9395 0.9395 0.6361



The following is a theoretical XRD peak list of Ag2BiF8. It was derived from a DFT-relaxed cell (GGA-PBE, Alexandria), using Cu Kα (λ = 1.5418 Å).

Main lines, sorted by position (10° ≤ 2θ ≤ 80°):
| 2θ/deg | intensity |
| --- | --- |
| 14.47 | 212 |
| 25.19 | 1000 |
| 25.44 | 815 |
| 32.90 | 196 |
| 36.11 | 210 |
| 44.38 | 211 |
| 44.54 | 410 |
| 45.00 | 209 |
| 51.71 | 227 |
| 52.26 | 213 |
| 58.49 | 155 |
| 58.87 | 239 |

Structure:
a b c (Å): 7.0705 7.0705 4.2668
angles (deg): 90.00 90.00 120.00
Atoms (fractional coordinates):
Ag1 0.3333 0.6667 0.2372
Ag2 0.6667 0.3333 0.7628
Bi1 0.0000 0.0000 0.5000
F1 0.1488 0.2975 0.2444
F2 0.1488 0.8512 0.2444
F3 0.2975 0.1488 0.7556
F4 0.3333 0.6667 0.7390
F5 0.6667 0.3333 0.2610
F6 0.7025 0.8512 0.2444
F7 0.8512 0.1488 0.7556
F8 0.8512 0.7025 0.7556



The following is a theoretical XRD peak list of Ag4BiF8. It was derived from a DFT-relaxed cell (GGA-PBE, Alexandria), using Cu Kα (λ = 1.5418 Å).

Main lines, sorted by position (10° ≤ 2θ ≤ 80°):
| 2θ/deg | intensity |
| --- | --- |
| 14.96 | 316 |
| 15.40 | 654 |
| 17.67 | 390 |
| 25.36 | 167 |
| 29.57 | 168 |
| 30.17 | 225 |
| 31.08 | 582 |
| 35.78 | 1000 |
| 50.91 | 321 |
| 52.09 | 323 |
| 61.39 | 198 |
| 64.81 | 154 |

Structure:
a b c (Å): 7.1783 7.1783 7.1783
angles (deg): 58.57 58.57 58.57
Atoms (fractional coordinates):
Ag1 0.0000 0.0000 0.0000
Ag2 0.0000 0.5000 0.5000
Ag3 0.5000 0.0000 0.5000
Ag4 0.5000 0.5000 0.0000
Bi1 0.5000 0.5000 0.5000
F1 0.2704 0.2704 0.7199
F2 0.2704 0.7199 0.2704
F3 0.2801 0.7296 0.7296
F4 0.2822 0.2822 0.2822
F5 0.7178 0.7178 0.7178
F6 0.7199 0.2704 0.2704
F7 0.7296 0.2801 0.7296
F8 0.7296 0.7296 0.2801



The following is a theoretical XRD peak list of Ag2BiF6. It was derived from a DFT-relaxed cell (GGA-PBE, Alexandria), using Cu Kα (λ = 1.5418 Å).

Main lines, sorted by position (10° ≤ 2θ ≤ 80°):
| 2θ/deg | intensity |
| --- | --- |
| 18.52 | 156 |
| 23.70 | 1000 |
| 29.40 | 916 |
| 33.77 | 233 |
| 45.37 | 760 |
| 48.50 | 185 |
| 54.68 | 168 |
| 55.30 | 193 |
| 57.74 | 229 |
| 68.59 | 143 |
| 76.60 | 128 |
| 78.68 | 128 |

Structure:
a b c (Å): 5.3086 5.3086 11.1146
angles (deg): 90.00 90.00 90.00
Atoms (fractional coordinates):
Ag1 0.0000 0.0000 0.1672
Ag2 0.0000 0.0000 0.8328
Ag3 0.5000 0.5000 0.3328
Ag4 0.5000 0.5000 0.6672
Bi1 0.0000 0.0000 0.5000
Bi2 0.5000 0.5000 0.0000
F1 0.1969 0.1969 0.3437
F2 0.1969 0.1969 0.6563
F3 0.2016 0.2016 0.0000
F4 0.2984 0.7016 0.5000
F5 0.3031 0.6969 0.1563
F6 0.3031 0.6969 0.8437
F7 0.6969 0.3031 0.1563
F8 0.6969 0.3031 0.8437
F9 0.7016 0.2984 0.5000
F10 0.7984 0.7984 0.0000
F11 0.8031 0.8031 0.3437
F12 0.8031 0.8031 0.6563